The following is a theoretical powder X-ray diffraction pattern of BaPmCd6. It was derived from the PBE geometry in Alexandria, using Cu Kα.
Lines closer than 0.1° are merged.

Structural model:
```
BaPmCd6
1.0
5.310 0.000 0.000
0.000 5.310 0.000
0.000 0.000 7.511
Ba Pm Cd
1 1 6
Direct
0.000 0.000 0.000
0.500 0.500 0.500
0.000 0.000 0.500
0.000 0.500 0.267
0.000 0.500 0.733
0.500 0.000 0.267
0.500 0.000 0.733
0.500 0.500 0.000
```

Most intense lines, 15° ≤ 2θ ≤ 90°, most intense first:
two_theta	d_spacing	intensity
33.76	2.655	100
60.39	1.533	35
48.49	1.877	17
80.97	1.187	14
71.00	1.328	10
43.45	2.083	1
67.12	1.395	1
20.48	4.336	1